# 1
Structure and theoretical powder diffractogram of K2RbGdNb2O8 (the PBE geometry in OQMD; copper Kα).
Neutral-atom scattering factors, no anomalous dispersion.

Atomic structure:
Cell: 6.0726 6.0726 7.6587 Å, 90.00 90.00 120.00°
Space group P-3m1 (No. 164)
Symmetry-distinct sites (fractional):
K: 0.3333 0.6667 0.1603 x2
Rb: 0.0000 0.0000 0.5000 x1
Gd: 0.0000 0.0000 0.0000 x1
Nb: 0.3333 0.6667 0.7207 x2
O: 0.1685 0.3370 0.8171 x6
O: 0.3333 0.6667 0.4830 x2

Largest 10 diffraction maxima, low angle first, 2θ from 10° to 90°:
d_spacing  2theta  Rel. int.
5.259  16.86  141
4.335  20.49  447
3.096  28.84  885
3.036  29.42  1000
2.168  41.67  472
1.764  51.82  343
1.753  52.18  192
1.620  56.85  152
1.518  61.04  172
1.363  68.89  148

# 2
Structure and theoretical powder diffractogram of Nb3SI7 (the PBE geometry in OQMD; copper Kα).
Neutral-atom scattering factors, no anomalous dispersion.

Atomic structure:
Cell: 16.113 12.722 8.002 Å, 90.00 99.35 90.00°
Space group P2_1/c (No. 14)
Symmetry-distinct sites (fractional):
Nb: 0.138 0.001 0.081 x4
Nb: 0.289 0.610 0.629 x4
Nb: 0.290 0.110 0.155 x4
S: 0.243 0.011 0.896 x4
I: 0.020 0.008 0.769 x4
I: 0.136 0.723 0.575 x4
I: 0.138 0.224 0.121 x4
I: 0.233 0.512 0.913 x4
I: 0.365 0.719 0.370 x4
I: 0.370 0.246 0.935 x4
I: 0.444 0.503 0.726 x4

Largest 10 diffraction maxima, low angle first, 2θ from 10° to 90°:
d_spacing  2theta  Rel. int.
7.949  11.13  302
6.709  13.20  403
6.511  13.60  673
5.898  15.02  384
3.371  26.44  1000
3.327  26.80  443
3.256  27.39  921
3.180  28.06  518
2.299  39.18  483
2.115  42.74  400

# 3
Structure and theoretical powder diffractogram of LiNbN2 (the PBE geometry in OQMD; copper Kα).
Neutral-atom scattering factors, no anomalous dispersion.

Atomic structure:
Cell: 4.785 4.785 9.148 Å, 90.00 90.00 90.00°
Space group I-42d (No. 122)
Symmetry-distinct sites (fractional):
Li: 0.000 0.000 0.000 x4
Nb: 0.000 0.000 0.500 x4
N: 0.219 0.750 0.625 x8

Largest 10 diffraction maxima, low angle first, 2θ from 10° to 90°:
d_spacing  2theta  Rel. int.
4.240  20.95  1000
2.720  32.93  760
2.571  34.89  224
2.392  37.60  137
2.083  43.43  242
1.751  52.23  161
1.692  54.22  120
1.653  55.60  225
1.436  64.92  196
1.390  67.36  160

# 4
Structure and theoretical powder diffractogram of CsTmTeO (the PBE geometry in OQMD; copper Kα).
Neutral-atom scattering factors, no anomalous dispersion.

Atomic structure:
Cell: 9.868 7.335 6.673 Å, 90.00 100.28 90.00°
Space group P2_1/c (No. 14)
Symmetry-distinct sites (fractional):
Cs: 0.134 0.079 0.322 x4
Tm: 0.495 0.636 0.795 x4
Te: 0.271 0.579 0.369 x4
O: 0.436 0.140 0.381 x4

Largest 10 diffraction maxima, low angle first, 2θ from 10° to 90°:
d_spacing  2theta  Rel. int.
3.285  27.14  390
3.237  27.55  807
3.123  28.59  1000
2.954  30.25  386
2.881  31.04  527
2.787  32.12  337
2.572  34.88  402
2.543  35.29  171
2.184  41.35  167
1.900  47.87  225

# 5
Structure and theoretical powder diffractogram of Li4In2HgIr (the PBE geometry in OQMD; copper Kα).
Neutral-atom scattering factors, no anomalous dispersion.

Atomic structure:
Cell: 4.576 4.576 6.566 Å, 90.00 90.00 90.00°
Space group P-4m2 (No. 115)
Symmetry-distinct sites (fractional):
Li: 0.000 0.000 0.000 x1
Li: 0.000 0.500 0.238 x2
Li: 0.500 0.500 0.500 x1
In: 0.000 0.500 0.779 x2
Hg: 0.000 0.000 0.500 x1
Ir: 0.500 0.500 0.000 x1

Largest 10 diffraction maxima, low angle first, 2θ from 10° to 90°:
d_spacing  2theta  Rel. int.
3.754  23.70  1000
2.305  39.09  568
2.288  39.38  292
1.974  45.96  164
1.954  46.48  339
1.618  56.91  99
1.495  62.09  134
1.334  70.62  86
1.324  71.21  194
1.246  76.44  79

# 6
Structure and theoretical powder diffractogram of Y2AlZn2In (the PBE geometry in OQMD; copper Kα).
Neutral-atom scattering factors, no anomalous dispersion.

Atomic structure:
Cell: 10.686 4.577 7.175 Å, 90.00 131.63 90.00°
Space group Cm (No. 8)
Symmetry-distinct sites (fractional):
Y: 0.000 0.000 0.000 x2
Y: 0.005 0.000 0.507 x2
Al: 0.333 0.000 0.569 x2
Zn: 0.159 0.500 0.878 x2
Zn: 0.180 0.500 0.459 x2
In: 0.336 0.000 0.102 x2

Largest 10 diffraction maxima, low angle first, 2θ from 10° to 90°:
d_spacing  2theta  Rel. int.
5.312  16.69  202
2.681  33.42  306
2.668  33.59  756
2.656  33.75  1000
2.301  39.14  958
2.288  39.38  522
1.794  50.91  179
1.740  52.61  246
1.734  52.80  209
1.409  66.34  193

# 7
Structure and theoretical powder diffractogram of Lu3In3PdPt (the PBE geometry in OQMD; copper Kα).
Neutral-atom scattering factors, no anomalous dispersion.

Atomic structure:
Cell: 7.6281 7.6281 3.5657 Å, 90.00 90.00 120.00°
Space group P-6 (No. 174)
Symmetry-distinct sites (fractional):
Lu: 0.0066 0.4230 0.0000 x3
In: 0.2347 0.2306 0.5000 x3
Pd: 0.6667 0.3333 0.5000 x1
Pt: 0.3333 0.6667 0.5000 x1

Largest 10 diffraction maxima, low angle first, 2θ from 10° to 90°:
d_spacing  2theta  Rel. int.
6.606  13.40  264
2.605  34.43  1000
2.497  35.97  730
2.423  37.10  711
2.202  40.99  168
1.832  49.77  182
1.630  56.47  269
1.451  64.19  265
1.395  67.11  184
1.336  70.46  198

# 8
Structure and theoretical powder diffractogram of LaPr3P2Br2 (the PBE geometry in OQMD; copper Kα).
Neutral-atom scattering factors, no anomalous dispersion.

Atomic structure:
Cell: 4.1633 4.1633 15.0023 Å, 90.00 90.00 120.00°
Space group P3m1 (No. 156)
Symmetry-distinct sites (fractional):
La: 0.0000 0.0000 0.0000 x1
Pr: 0.0000 0.0000 0.2968 x1
Pr: 0.6667 0.3333 0.4992 x1
Pr: 0.6667 0.3333 0.7937 x1
P: 0.3333 0.6667 0.3981 x1
P: 0.3333 0.6667 0.8954 x1
Br: 0.0000 0.0000 0.6464 x1
Br: 0.6667 0.3333 0.1503 x1

Largest 10 diffraction maxima, low angle first, 2θ from 10° to 90°:
d_spacing  2theta  Rel. int.
3.606  24.69  215
3.506  25.41  98
2.925  30.57  1000
2.599  34.51  94
2.500  35.92  84
2.082  43.47  326
2.055  44.07  127
1.696  54.07  198
1.600  57.62  129
1.315  71.79  169

# 9
Structure and theoretical powder diffractogram of LaAuSO (the PBE geometry in OQMD; copper Kα).
Neutral-atom scattering factors, no anomalous dispersion.

Atomic structure:
Cell: 5.908 5.906 11.176 Å, 90.00 92.19 90.00°
Space group P2_1 (No. 4)
Symmetry-distinct sites (fractional):
La: 0.006 0.000 0.106 x2
La: 0.493 0.001 0.894 x2
Au: 0.196 0.276 0.497 x2
Au: 0.498 0.023 0.287 x2
S: 0.214 0.303 0.292 x2
S: 0.220 0.246 0.703 x2
O: 0.249 0.749 0.000 x2
O: 0.251 0.250 0.999 x2

Largest 10 diffraction maxima, low angle first, 2θ from 10° to 90°:
d_spacing  2theta  Rel. int.
5.221  16.98  566
4.175  21.28  685
3.877  22.94  463
3.388  26.30  1000
3.301  27.01  791
2.855  31.33  491
2.817  31.77  674
2.742  32.66  695
2.233  40.38  480
2.088  43.34  849

# 10
Structure and theoretical powder diffractogram of TbHfNO (the PBE geometry in OQMD; copper Kα).
Neutral-atom scattering factors, no anomalous dispersion.

Atomic structure:
Cell: 7.780 6.568 4.659 Å, 90.00 90.00 90.00°
Space group Pbcm (No. 57)
Symmetry-distinct sites (fractional):
Tb: 0.123 0.054 0.250 x4
Hf: 0.374 0.595 0.250 x4
N: 0.400 0.581 0.750 x4
O: 0.158 0.099 0.750 x4

Largest 10 diffraction maxima, low angle first, 2θ from 10° to 90°:
d_spacing  2theta  Rel. int.
3.347  26.63  333
3.284  27.15  229
2.718  32.95  1000
2.684  33.38  363
2.330  38.65  294
1.945  46.70  163
1.908  47.67  267
1.575  58.61  184
1.476  62.97  228
1.409  66.35  141

Copy entry 7 word for word.
Structure and theoretical powder diffractogram of Lu3In3PdPt (the PBE geometry in OQMD; copper Kα).
Neutral-atom scattering factors, no anomalous dispersion.

Atomic structure:
Cell: 7.6281 7.6281 3.5657 Å, 90.00 90.00 120.00°
Space group P-6 (No. 174)
Symmetry-distinct sites (fractional):
Lu: 0.0066 0.4230 0.0000 x3
In: 0.2347 0.2306 0.5000 x3
Pd: 0.6667 0.3333 0.5000 x1
Pt: 0.3333 0.6667 0.5000 x1

Largest 10 diffraction maxima, low angle first, 2θ from 10° to 90°:
d_spacing  2theta  Rel. int.
6.606  13.40  264
2.605  34.43  1000
2.497  35.97  730
2.423  37.10  711
2.202  40.99  168
1.832  49.77  182
1.630  56.47  269
1.451  64.19  265
1.395  67.11  184
1.336  70.46  198